Entry 1:
# KCdFe2Br8
Simulated XRD peak list, Cu Kα (weighted mean of Kα1 and Kα2). Input: DFT lattice parameters and positions (GGA-PBE).
Peak positions follow from Bragg's law for the DFT cell and can differ from measured ones.

Crystal structure
```
data_KCdFe2Br8
_chemical_formula_sum 'K2 Cd2 Fe4 Br16'
_space_group_name_H-M_alt 'C 1 2/m 1'
_space_group_IT_number 12
_space_group_name_Hall '-C 2y'
_cell_length_a 11.1957
_cell_length_b 7.7622
_cell_length_c 9.7328
_cell_angle_alpha 90.00
_cell_angle_beta 95.20
_cell_angle_gamma 90.00
loop_
_atom_site_label
_atom_site_fract_x
_atom_site_fract_y
_atom_site_fract_z
K1 0.0000 0.0000 0.0000
Cd1 0.0000 0.0000 0.5000
Fe1 0.1218 0.5000 0.2815
Br1 0.0103 0.2516 0.7147
Br2 0.2044 0.5000 0.0685
Br3 0.2497 0.0000 0.5088
```

The 6 most intense peaks (2θ = 10–90°), by angle:
Position (°2θ), I (rel.), h k l
16.25, 73, 1 1 -1
26.59, 44, 3 1 0
28.01, 66, 2 2 0
29.49, 100, 0 2 2
45.45, 65, 4 2 2
46.83, 49, 0 4 0

Entry 2:
# Pm2Pr6In
Simulated XRD peak list, Cu Kα (weighted mean of Kα1 and Kα2). Input: DFT lattice parameters and positions (GGA-PBE).
Peak positions follow from Bragg's law for the DFT cell and can differ from measured ones.

Crystal structure
```
data_Pm2Pr6In
_chemical_formula_sum 'Pm4 Pr12 In2'
_space_group_name_H-M_alt 'P 42/m n m'
_space_group_IT_number 136
_space_group_name_Hall '-P 4n 2n'
_cell_length_a 10.9934
_cell_length_b 10.9934
_cell_length_c 5.0858
_cell_angle_alpha 90.00
_cell_angle_beta 90.00
_cell_angle_gamma 90.00
loop_
_atom_site_label
_atom_site_fract_x
_atom_site_fract_y
_atom_site_fract_z
Pm1 0.1608 0.1608 0.0000
Pr1 0.0000 0.3313 0.5000
Pr2 0.1600 0.8400 0.0000
In1 0.0000 0.0000 0.5000
```

The 6 most intense peaks (2θ = 10–90°), by angle:
Position (°2θ), I (rel.), h k l
30.06, 100, 3 0 1
34.62, 34, 3 3 0
35.30, 16, 0 0 2
50.27, 24, 3 3 2
59.24, 28, 6 3 1
60.14, 14, 3 0 3

Entry 3:
# CePaSi4
Simulated XRD peak list, Cu Kα (weighted mean of Kα1 and Kα2). Input: DFT lattice parameters and positions (GGA-PBE).
Peak positions follow from Bragg's law for the DFT cell and can differ from measured ones.

Crystal structure
```
data_CePaSi4
_chemical_formula_sum 'Ce2 Pa2 Si8'
_space_group_name_H-M_alt 'I -4 m 2'
_space_group_IT_number 119
_space_group_name_Hall 'I -4 -2'
_cell_length_a 4.0095
_cell_length_b 4.0095
_cell_length_c 14.3066
_cell_angle_alpha 90.00
_cell_angle_beta 90.00
_cell_angle_gamma 90.00
loop_
_atom_site_label
_atom_site_fract_x
_atom_site_fract_y
_atom_site_fract_z
Ce1 0.0000 0.0000 0.0000
Pa1 0.0000 0.5000 0.2500
Si1 0.0000 0.0000 0.4162
Si2 0.0000 0.5000 0.6686
```

The 6 most intense peaks (2θ = 10–90°), by angle:
Position (°2θ), I (rel.), h k l
23.04, 55, 1 0 1
24.89, 29, 0 0 4
29.10, 58, 1 0 3
34.01, 100, 1 1 2
38.66, 44, 1 0 5
45.23, 29, 2 0 0